Entry 1:
The following is a computed powder XRD pattern of Y2Hf2Sn2N. It was derived from a cell relaxed with PBE, using copper Kα.
Lines closer than 0.1° are merged.

Principal peaks in the range 5° ≤ 2θ ≤ 70°, in order of falling intensity:
| d/Å | Rel. int. |
| --- | --- |
| 2.462 | 100 |
| 2.904 | 73 |
| 8.042 | 56 |
| 2.202 | 50 |
| 1.701 | 30 |
| 2.681 | 29 |
| 1.557 | 17 |
| 1.372 | 15 |
| 1.429 | 15 |
| 1.346 | 14 |

Structure:
```
Y2Hf2Sn2N
1.0
-2.202 2.202 8.042
2.202 -2.202 8.042
2.202 2.202 -8.042
Y Hf Sn N
2 2 2 1
Cartesian
0.000 0.000 2.646 Y
0.000 0.000 13.437 Y
2.202 0.000 0.000 Hf
0.000 2.202 0.000 Hf
0.000 0.000 5.854 Sn
0.000 0.000 10.229 Sn
0.000 0.000 0.000 N
```



Entry 2:
The following is a computed powder XRD pattern of K3Cd2Hg4Au2. It was derived from a cell relaxed with PBE, using copper Kα.
Lines closer than 0.1° are merged.

Principal peaks in the range 5° ≤ 2θ ≤ 70°, in order of falling intensity:
| d/Å | Rel. int. |
| --- | --- |
| 2.531 | 100 |
| 2.909 | 62 |
| 2.121 | 60 |
| 4.382 | 53 |
| 3.889 | 48 |
| 1.461 | 19 |
| 1.670 | 19 |
| 1.909 | 18 |
| 1.524 | 17 |
| 1.542 | 17 |

Structure:
```
K3Cd2Hg4Au2
1.0
5.060 0.000 0.000
-2.530 4.382 0.000
0.000 0.000 15.554
K Cd Hg Au
3 2 4 2
Cartesian
0.000 0.000 0.000 K
0.000 0.000 4.110 K
0.000 0.000 11.444 K
0.000 2.922 8.970 Cd
2.530 1.461 6.584 Cd
0.000 2.922 6.012 Hg
0.000 2.922 13.508 Hg
2.530 1.461 2.046 Hg
2.530 1.461 9.543 Hg
0.000 2.922 2.115 Au
2.530 1.461 13.439 Au
```



Entry 3:
The following is a computed powder XRD pattern of DyV2Fe5Co5. It was derived from a cell relaxed with PBE, using copper Kα.
Lines closer than 0.1° are merged.

Principal peaks in the range 5° ≤ 2θ ≤ 70°, in order of falling intensity:
| d/Å | Rel. int. |
| --- | --- |
| 2.081 | 100 |
| 2.035 | 67 |
| 2.920 | 42 |
| 2.101 | 32 |
| 2.092 | 28 |
| 1.831 | 24 |
| 2.400 | 22 |
| 2.393 | 21 |
| 2.327 | 16 |
| 2.648 | 9 |

Structure:
```
DyV2Fe5Co5
1.0
-2.327 4.184 4.203
2.327 -4.184 4.203
2.327 4.184 -4.203
Dy V Fe Co
1 2 5 5
Cartesian
0.000 0.000 0.000 Dy
0.000 0.000 3.020 V
0.000 0.000 5.413 V
1.165 2.082 -2.090 Fe
3.489 2.082 -2.090 Fe
2.327 0.000 1.892 Fe
-1.162 2.102 2.113 Fe
1.162 2.102 2.113 Fe
2.327 1.890 0.016 Co
0.000 3.003 0.001 Co
0.000 5.366 0.001 Co
0.000 2.294 4.219 Co
0.000 4.184 2.339 Co
```